Diffraction record for Nd4Er11S22. The powder X-ray diffraction pattern is theoretical, not measured: it uses a DFT-relaxed cell (GGA-PBE, the Materials Project) and copper Kα.

Largest 10 diffraction maxima, by intensity, 10° ≤ 2θ ≤ 80°:
2θ (°)  d/Å  intensity
24.27  3.668  100
23.54  3.780  81
31.56  2.835  62
27.71  3.219  60
26.46  3.368  58
33.99  2.637  57
42.12  2.145  55
46.12  1.968  50
27.42  3.253  48
44.21  2.049  36

Crystal structure
```
Nd4Er11S22
1.0
19.5409 -1.9685 0.0000
19.5409 1.9685 0.0000
-0.2640 0.0000 11.3401
Nd Er S
4 11 22
Cartesian
4.0703 0.0000 0.1395 Nd
14.2580 0.0000 3.9360 Nd
24.5597 0.0000 7.4040 Nd
34.7474 0.0000 11.2006 Nd
0.0000 0.0000 0.0000 Er
2.6150 0.0000 4.0781 Er
7.6410 0.0000 10.6849 Er
10.2330 0.0000 3.9921 Er
13.1955 0.0000 7.9116 Er
17.9729 0.0000 3.0805 Er
20.8449 0.0000 8.2596 Er
25.6223 0.0000 3.4285 Er
28.5847 0.0000 7.3480 Er
31.1767 0.0000 0.6551 Er
36.2028 0.0000 7.2620 Er
0.2422 0.0000 2.7079 S
3.2274 0.0000 8.5324 S
5.1288 0.0000 5.1562 S
6.5340 0.0000 1.7152 S
7.1806 0.0000 7.8492 S
9.9396 0.0000 1.3543 S
10.7865 0.0000 6.6910 S
13.6977 0.0000 1.0429 S
15.7007 0.0000 8.9439 S
17.2938 0.0000 5.6188 S
17.6865 0.0000 0.3579 S
21.1313 0.0000 10.9822 S
21.5240 0.0000 5.7213 S
23.1170 0.0000 2.3961 S
25.1201 0.0000 10.2972 S
28.0312 0.0000 4.6490 S
28.8781 0.0000 9.9858 S
31.6372 0.0000 3.4909 S
32.2837 0.0000 9.6248 S
33.6889 0.0000 6.1839 S
35.5903 0.0000 2.8077 S
38.5756 0.0000 8.6322 S
```

---

Diffraction record for MgCd3. The powder X-ray diffraction pattern is theoretical, not measured: it uses a DFT-relaxed cell (GGA-PBE, the Materials Project) and copper Kα.

Largest 10 diffraction maxima, by intensity, 10° ≤ 2θ ≤ 80°:
2θ (°)  d/Å  intensity
37.14  2.421  100
37.76  2.382  49
34.36  2.610  41
32.78  2.732  28
63.37  1.468  20
70.45  1.337  19
48.22  1.887  18
59.40  1.556  16
71.38  1.321  14
16.98  5.220  13

Crystal structure
```
MgCd3
1.0
3.1765 0.0000 0.0000
0.0000 5.2204 0.0000
0.0000 0.0000 5.3545
Mg Cd
1 3
Cartesian
0.0000 0.0000 0.0000 Mg
0.0000 2.6102 3.5688 Cd
1.5882 0.0000 2.6490 Cd
1.5882 2.6102 0.8682 Cd
```

---

Diffraction record for B2MoRu. The powder X-ray diffraction pattern is theoretical, not measured: it uses a DFT-relaxed cell (GGA-PBE, the Materials Project) and copper Kα.

Largest 10 diffraction maxima, by intensity, 10° ≤ 2θ ≤ 80°:
2θ (°)  d/Å  intensity
39.13  2.302  100
42.31  2.136  86
36.04  2.492  72
42.77  2.114  61
35.75  2.512  46
29.71  3.007  44
70.00  1.344  37
47.38  1.919  36
49.66  1.836  33
78.37  1.220  27

Crystal structure
```
B2MoRu
1.0
2.9730 0.0000 0.0000
0.0000 4.5702 0.0000
0.0000 0.0000 6.0136
B Mo Ru
4 2 2
Cartesian
0.0000 0.6134 0.0000 B
0.0000 3.9568 3.0068 B
1.4865 1.5286 5.6679 B
1.4865 3.0416 2.6611 B
0.0000 1.7339 3.9078 Mo
0.0000 2.8363 0.9009 Mo
1.4865 0.5788 1.7309 Ru
1.4865 3.9913 4.7377 Ru
```

---

Diffraction record for SmGeO3. The powder X-ray diffraction pattern is theoretical, not measured: it uses a DFT-relaxed cell (GGA-PBE, the Materials Project) and copper Kα.

Largest 9 diffraction maxima, by intensity, 10° ≤ 2θ ≤ 80°:
2θ (°)  d/Å  intensity
32.07  2.791  100
57.17  1.611  40
45.99  1.973  31
67.08  1.395  19
76.30  1.248  17
39.55  2.279  13
22.53  3.947  9
51.80  1.765  4
71.75  1.316  2

Crystal structure
```
SmGeO3
1.0
3.9467 0.0000 0.0000
0.0000 3.9467 0.0000
0.0000 0.0000 3.9467
Sm Ge O
1 1 3
Cartesian
0.0000 0.0000 0.0000 Sm
1.9733 1.9733 1.9733 Ge
0.0000 1.9733 1.9733 O
1.9733 0.0000 1.9733 O
1.9733 1.9733 0.0000 O
```

---

Diffraction record for GaSiO3. The powder X-ray diffraction pattern is theoretical, not measured: it uses a DFT-relaxed cell (GGA-PBE, the Materials Project) and copper Kα.

Largest 7 diffraction maxima, by intensity, 10° ≤ 2θ ≤ 80°:
2θ (°)  d/Å  intensity
35.50  2.529  100
51.07  1.788  50
43.84  2.065  42
63.74  1.460  37
75.13  1.264  28
24.90  3.577  11
57.63  1.599  6

Crystal structure
```
GaSiO3
1.0
3.5765 0.0000 0.0000
0.0000 3.5765 0.0000
0.0000 0.0000 3.5765
Ga Si O
1 1 3
Cartesian
0.0000 0.0000 0.0000 Ga
1.7883 1.7883 1.7883 Si
0.0000 1.7883 1.7883 O
1.7883 0.0000 1.7883 O
1.7883 1.7883 0.0000 O
```

---

Diffraction record for SnH4. The powder X-ray diffraction pattern is theoretical, not measured: it uses a DFT-relaxed cell (GGA-PBE, the Materials Project) and copper Kα.

Largest 10 diffraction maxima, by intensity, 10° ≤ 2θ ≤ 80°:
2θ (°)  d/Å  intensity
14.27  6.207  100
29.27  3.051  53
32.32  2.770  36
33.09  2.707  29
40.90  2.207  19
36.47  2.463  19
47.25  1.924  18
42.16  2.143  13
26.27  3.392  13
38.82  2.320  13

Crystal structure
```
SnH4
1.0
4.6442 0.0000 0.0000
0.0000 4.0501 0.0000
-0.2746 0.0000 6.2070
Sn H
2 8
Cartesian
0.9951 1.0125 2.6550 Sn
3.3744 3.0376 3.5519 Sn
0.3170 3.0376 5.8679 H
0.6071 3.0376 0.4187 H
1.4485 1.0125 5.3943 H
1.4486 1.0125 6.1470 H
2.9209 3.0376 0.0600 H
2.9210 3.0376 0.8126 H
3.7624 1.0125 5.7883 H
4.0526 1.0125 0.3390 H
```

---

Diffraction record for Na6Np2H10S4O25. The powder X-ray diffraction pattern is theoretical, not measured: it uses a DFT-relaxed cell (GGA-PBE, the Materials Project) and copper Kα.

Largest 10 diffraction maxima, by intensity, 10° ≤ 2θ ≤ 80°:
2θ (°)  d/Å  intensity
13.95  6.349  100
14.92  5.939  94
28.80  3.100  52
16.75  5.294  39
23.65  3.762  39
19.71  4.504  33
29.83  2.995  32
25.07  3.553  31
18.58  4.775  23
34.74  2.582  19

Crystal structure
```
Na6Np2H10S4O25
1.0
7.1055 0.0000 0.0000
0.0408 7.9381 0.0000
0.0160 0.1788 10.8158
Na Np H S O
6 2 10 4 25
Cartesian
0.0000 0.0000 0.0000 Na
0.2763 2.4954 5.0757 Na
2.0520 2.4731 2.0477 Na
3.4724 5.0926 9.9401 Na
3.8332 2.4866 5.0629 Na
5.6112 2.4509 8.0956 Na
2.0907 7.5739 7.1258 Np
5.6239 5.3691 3.0081 Np
0.1468 4.7790 6.9002 H
0.2665 0.2161 3.2843 H
0.8847 3.7610 7.8190 H
3.1349 3.7023 7.6992 H
3.7065 0.2117 3.2259 H
3.8763 4.7738 6.8283 H
4.4313 1.2248 2.2976 H
5.3349 6.5318 0.0141 H
5.9213 5.8298 9.6772 H
6.6597 1.2853 2.3935 H
2.0644 1.8586 9.3914 S
2.0742 5.3388 4.0049 S
5.5868 3.1847 0.6985 S
5.6407 7.5728 6.0800 S
0.2137 3.8269 7.0956 O
0.3125 1.1516 3.0111 O
0.8411 1.2541 8.7245 O
0.8644 5.8661 3.3055 O
1.9935 1.3602 0.0124 O
2.0441 0.9648 5.8284 O
2.0632 3.8509 3.9874 O
2.0879 6.3030 8.4695 O
2.0803 3.3346 9.1720 O
2.0993 5.8152 5.4097 O
3.2461 1.2413 8.7104 O
3.2663 5.8566 3.2680 O
3.7768 1.1664 3.0310 O
3.9074 3.8359 7.1003 O
4.3649 3.7882 1.3575 O
4.4271 7.0399 6.7572 O
5.4382 6.6648 9.8383 O
5.5703 3.6959 10.0723 O
5.5997 4.0357 4.2958 O
5.6026 1.1222 6.1196 O
5.6164 1.7087 0.9009 O
5.6551 7.1259 4.6599 O
5.6739 6.6829 1.6800 O
6.7688 3.8062 1.3829 O
6.8401 7.0361 6.7879 O
```

---

Diffraction record for TaOsPb. The powder X-ray diffraction pattern is theoretical, not measured: it uses a DFT-relaxed cell (GGA-PBE, the Materials Project) and copper Kα.

Largest 10 diffraction maxima, by intensity, 10° ≤ 2θ ≤ 80°:
2θ (°)  d/Å  intensity
39.80  2.265  100
72.25  1.308  36
24.06  3.699  24
27.85  3.203  18
57.55  1.602  17
47.05  1.932  12
65.12  1.432  7
63.27  1.470  5
49.27  1.849  5
77.41  1.233  4

Crystal structure
```
TaOsPb
1.0
0.0000 3.2032 3.2032
3.2032 0.0000 3.2032
3.2032 3.2032 0.0000
Ta Os Pb
1 1 1
Cartesian
0.0000 0.0000 0.0000 Ta
4.8047 4.8047 4.8047 Os
1.6016 1.6016 1.6016 Pb
```

---

Diffraction record for Na2Ti3Cl8. The powder X-ray diffraction pattern is theoretical, not measured: it uses a DFT-relaxed cell (GGA-PBE, the Materials Project) and copper Kα.

Largest 10 diffraction maxima, by intensity, 10° ≤ 2θ ≤ 80°:
2θ (°)  d/Å  intensity
36.99  2.430  100
12.94  6.843  71
30.91  2.893  41
52.58  1.741  32
43.03  2.102  30
17.05  5.199  28
54.04  1.697  19
28.77  3.103  17
47.12  1.929  12
66.02  1.415  11

Crystal structure
```
Na2Ti3Cl8
1.0
3.4814 2.0100 6.8431
-3.4814 2.0100 6.8431
0.0000 -4.0200 6.8431
Na Ti Cl
2 3 8
Cartesian
0.0000 0.0000 0.0000 Na
0.0000 0.0000 6.7580 Na
-2.0555 -1.1867 10.0745 Ti
2.0555 -1.1867 10.0745 Ti
0.0000 2.3734 10.0745 Ti
0.0000 -2.0399 4.8002 Cl
-1.7666 1.0199 4.8002 Cl
0.0000 -1.9847 8.6987 Cl
-1.7188 0.9924 8.6987 Cl
0.0000 0.0000 11.3483 Cl
1.7666 1.0199 4.8002 Cl
0.0000 0.0000 15.1811 Cl
1.7188 0.9924 8.6987 Cl
```

---

Diffraction record for Mg6ZnW. The powder X-ray diffraction pattern is theoretical, not measured: it uses a DFT-relaxed cell (GGA-PBE, the Materials Project) and copper Kα.

Largest 10 diffraction maxima, by intensity, 10° ≤ 2θ ≤ 80°:
2θ (°)  d/Å  intensity
39.16  2.300  100
16.69  5.311  67
38.63  2.331  54
18.23  4.867  51
24.81  3.588  47
34.36  2.610  40
16.98  5.220  38
36.94  2.433  37
25.01  3.560  27
51.33  1.780  26

Crystal structure
```
Mg6ZnW
1.0
4.8668 0.0000 0.0000
0.0000 2.9972 5.3106
0.0000 -2.9972 5.3106
Mg Zn W
6 1 1
Cartesian
0.0000 0.0000 0.0000 Mg
0.0000 -1.4412 2.7455 Mg
0.0000 0.0000 5.2520 Mg
0.0000 1.4412 2.7455 Mg
2.4334 -1.4835 6.2606 Mg
2.4334 1.4835 6.2606 Mg
2.4334 0.0000 8.8891 Zn
2.4334 0.0000 3.6123 W
```

---

Diffraction record for TmFe6Sn6. The powder X-ray diffraction pattern is theoretical, not measured: it uses a DFT-relaxed cell (GGA-PBE, the Materials Project) and copper Kα.

Largest 10 diffraction maxima, by intensity, 10° ≤ 2θ ≤ 80°:
2θ (°)  d/Å  intensity
33.10  2.706  100
38.93  2.313  93
35.77  2.510  47
43.63  2.074  45
72.58  1.303  36
69.47  1.353  30
38.41  2.343  30
45.32  2.001  25
40.47  2.229  24
63.05  1.474  23

Crystal structure
```
TmFe6Sn6
1.0
5.4120 0.0000 0.0000
-2.7060 4.6869 0.0000
0.0000 0.0000 8.9162
Tm Fe Sn
1 6 6
Cartesian
0.0000 0.0000 0.0000 Tm
-1.3530 2.3435 2.1900 Fe
-1.3530 2.3435 6.7262 Fe
2.7060 0.0000 2.1900 Fe
2.7060 0.0000 6.7262 Fe
1.3530 2.3435 2.1900 Fe
1.3530 2.3435 6.7262 Fe
0.0000 0.0000 3.0008 Sn
0.0000 0.0000 5.9154 Sn
0.0000 3.1246 0.0000 Sn
0.0000 3.1246 4.4581 Sn
2.7060 1.5623 0.0000 Sn
2.7060 1.5623 4.4581 Sn
```

---

Diffraction record for RbTlF3. The powder X-ray diffraction pattern is theoretical, not measured: it uses a DFT-relaxed cell (GGA-PBE, the Materials Project) and copper Kα.

Largest 10 diffraction maxima, by intensity, 10° ≤ 2θ ≤ 80°:
2θ (°)  d/Å  intensity
26.12  3.411  100
46.08  1.970  43
37.28  2.412  32
18.39  4.824  28
73.44  1.289  23
53.74  1.706  22
60.70  1.526  21
41.87  2.158  14
67.22  1.393  7
57.29  1.608  7

Crystal structure
```
RbTlF3
1.0
0.0000 4.8245 4.8245
4.8245 0.0000 4.8245
4.8245 4.8245 0.0000
Rb Tl F
2 2 6
Cartesian
2.4122 2.4122 2.4122 Rb
7.2367 7.2367 7.2367 Rb
0.0000 0.0000 0.0000 Tl
4.8245 4.8245 4.8245 Tl
4.8245 4.8245 2.2063 F
4.8245 2.2063 4.8245 F
7.4427 4.8245 4.8245 F
2.2063 4.8245 4.8245 F
4.8245 7.4427 4.8245 F
4.8245 4.8245 7.4427 F
```